No. 1
Sr2GaCu3Ge4: theoretical powder diffractogram (Cu Kα (weighted mean of Kα1 and Kα2)), based on a DFT-relaxed cell (GGA-PBE, Alexandria).
No peak broadening, texture or thermal motion is included.

Peak list (8 most intense, 2θ = 10–80°, sorted by position)
| h k l | 2theta | I (rel.) |
| --- | --- | --- |
| 1 0 3 | 32.77 | 52 |
| 1 1 2 | 34.11 | 100 |
| 2 0 0 | 42.32 | 62 |
| 1 1 4 | 45.37 | 28 |
| 1 0 5 | 47.65 | 27 |
| 2 1 3 | 54.53 | 23 |
| 2 1 5 | 65.60 | 20 |
| 3 1 2 | 72.13 | 22 |

Atomic structure:
```
data_Sr2GaCu3Ge4
_chemical_formula_sum 'Sr2 Ga1 Cu3 Ge4'
_cell_length_a 4.2717
_cell_length_b 4.2717
_cell_length_c 10.6670
_cell_angle_alpha 90.00
_cell_angle_beta 90.00
_cell_angle_gamma 90.00
_symmetry_space_group_name_H-M 'P 1'
_symmetry_Int_Tables_number 1
loop_
_symmetry_equiv_pos_as_xyz
'x,y,z'
loop_
_atom_site_label
_atom_site_type_symbol
_atom_site_fract_x
_atom_site_fract_y
_atom_site_fract_z
Sr1 Sr 0.0000 0.5000 0.2472
Sr2 Sr 0.5000 0.0000 0.7528
Ga1 Ga 0.0000 0.0000 0.5000
Cu1 Cu 0.0000 0.5000 0.8720
Cu2 Cu 0.5000 0.0000 0.1280
Cu3 Cu 0.5000 0.5000 0.5000
Ge1 Ge 0.0000 0.0000 0.0000
Ge2 Ge 0.0000 0.5000 0.6395
Ge3 Ge 0.5000 0.0000 0.3605
Ge4 Ge 0.5000 0.5000 0.0000
```

---

No. 2
Ca2VInN4: theoretical powder diffractogram (Cu Kα (weighted mean of Kα1 and Kα2)), based on a DFT-relaxed cell (GGA-PBE, Alexandria).
No peak broadening, texture or thermal motion is included.

Peak list (8 most intense, 2θ = 10–80°, sorted by position)
| h k l | 2theta | I (rel.) |
| --- | --- | --- |
| 0 1 1 | 21.17 | 24 |
| 2 1 0 | 28.90 | 48 |
| 0 0 2 | 32.26 | 100 |
| 2 1 1 | 33.20 | 90 |
| 2 3 0 | 49.87 | 31 |
| 2 1 3 | 58.16 | 23 |
| 2 3 2 | 60.66 | 27 |
| 4 0 2 | 62.43 | 27 |

Atomic structure:
```
data_Ca2VInN4
_chemical_formula_sum 'Ca4 V2 In2 N8'
_cell_length_a 7.0480
_cell_length_b 6.4174
_cell_length_c 5.5457
_cell_angle_alpha 90.00
_cell_angle_beta 90.00
_cell_angle_gamma 90.00
_symmetry_space_group_name_H-M 'P 1'
_symmetry_Int_Tables_number 1
loop_
_symmetry_equiv_pos_as_xyz
'x,y,z'
loop_
_atom_site_label
_atom_site_type_symbol
_atom_site_fract_x
_atom_site_fract_y
_atom_site_fract_z
Ca1 Ca 0.2490 0.1790 0.0000
Ca2 Ca 0.2510 0.8210 0.5000
Ca3 Ca 0.7490 0.8210 0.5000
Ca4 Ca 0.7510 0.1790 0.0000
V1 V 0.0000 0.6642 0.0205
V2 V 0.5000 0.3358 0.5205
In1 In 0.0000 0.3433 0.5113
In2 In 0.5000 0.6567 0.0113
N1 N 0.0000 0.4028 0.8995
N2 N 0.0000 0.6431 0.3430
N3 N 0.2221 0.8110 0.9400
N4 N 0.2779 0.1890 0.4400
N5 N 0.5000 0.3569 0.8430
N6 N 0.5000 0.5972 0.3995
N7 N 0.7221 0.1890 0.4400
N8 N 0.7779 0.8110 0.9400
```

---

No. 3
Sc3TeH3: theoretical powder diffractogram (Cu Kα (weighted mean of Kα1 and Kα2)), based on a DFT-relaxed cell (GGA-PBE, Alexandria).
No peak broadening, texture or thermal motion is included.

Peak list (8 most intense, 2θ = 10–80°, sorted by position)
| h k l | 2theta | I (rel.) |
| --- | --- | --- |
| 1 1 0 | 21.78 | 43 |
| 2 0 0 | 30.99 | 45 |
| 2 1 0 | 34.76 | 34 |
| 2 1 1 | 38.20 | 100 |
| 3 2 1 | 59.98 | 51 |
| 4 0 0 | 64.60 | 11 |
| 4 2 0 | 73.37 | 14 |
| 3 3 2 | 77.59 | 12 |

Atomic structure:
```
data_Sc3TeH3
_chemical_formula_sum 'Sc6 Te2 H6'
_cell_length_a 5.7712
_cell_length_b 5.7712
_cell_length_c 5.7712
_cell_angle_alpha 90.00
_cell_angle_beta 90.00
_cell_angle_gamma 90.00
_symmetry_space_group_name_H-M 'P 1'
_symmetry_Int_Tables_number 1
loop_
_symmetry_equiv_pos_as_xyz
'x,y,z'
loop_
_atom_site_label
_atom_site_type_symbol
_atom_site_fract_x
_atom_site_fract_y
_atom_site_fract_z
Sc1 Sc 0.0000 0.2500 0.5000
Sc2 Sc 0.0000 0.7500 0.5000
Sc3 Sc 0.2500 0.5000 0.0000
Sc4 Sc 0.5000 0.0000 0.2500
Sc5 Sc 0.5000 0.0000 0.7500
Sc6 Sc 0.7500 0.5000 0.0000
Te1 Te 0.0000 0.0000 0.0000
Te2 Te 0.5000 0.5000 0.5000
H1 H 0.0000 0.5000 0.2500
H2 H 0.0000 0.5000 0.7500
H3 H 0.2500 0.0000 0.5000
H4 H 0.5000 0.2500 0.0000
H5 H 0.5000 0.7500 0.0000
H6 H 0.7500 0.0000 0.5000
```